Theoretical X-ray powder pattern
Compound: Li2CrFe3O8
Radiation: Cu Kα (weighted mean of Kα1 and Kα2)
Structure: the PBE+U geometry in Alexandria
Kinematic intensities with the Lorentz-polarization factor, no thermal factor.

Top 12 peaks for 10° ≤ 2θ ≤ 90°, low angle first:
2θ 18.74, intensity 100.0; 2θ 19.92, intensity 98.3; 2θ 20.03, intensity 41.9; 2θ 25.82, intensity 45.2; 2θ 33.49, intensity 48.7; 2θ 36.30, intensity 46.6; 2θ 36.83, intensity 49.3; 2θ 40.48, intensity 38.4; 2θ 46.02, intensity 60.1; 2θ 46.23, intensity 30.9; 2θ 61.15, intensity 40.9; 2θ 64.18, intensity 37.4

Structure:
a = 5.8050 Å, b = 5.8050 Å, c = 9.4726 Å
α = 90.00°, β = 90.00°, γ = 119.52°
Sites, in units of the cell vectors:
Li 0.0008 0.9992 0.5000
Li 0.3319 0.6681 0.5996
Li 0.6681 0.3319 0.0996
Li 0.9992 0.0008 0.0000
Cr 0.3305 0.6695 0.0097
Cr 0.6695 0.3305 0.5097
Fe 0.1706 0.8294 0.2825
Fe 0.1739 0.3368 0.2819
Fe 0.3368 0.1739 0.7819
Fe 0.6632 0.8261 0.2819
Fe 0.8261 0.6632 0.7819
Fe 0.8294 0.1706 0.7825
O 0.0020 0.9980 0.1874
O 0.0392 0.5225 0.1600
O 0.1551 0.3247 0.8943
O 0.1636 0.8364 0.8980
O 0.3247 0.1551 0.3943
O 0.3340 0.6660 0.3873
O 0.4775 0.9608 0.1600
O 0.4831 0.5169 0.1496
O 0.5169 0.4831 0.6496
O 0.5225 0.0392 0.6600
O 0.6660 0.3340 0.8873
O 0.6753 0.8449 0.8943
O 0.8364 0.1636 0.3980
O 0.8449 0.6753 0.3943
O 0.9608 0.4775 0.6600
O 0.9980 0.0020 0.6874